No. 1
GdMg: theoretical XRD peak list (a wavelength of 1.5418 Å), based on the PBE geometry in OQMD.
Peak positions follow from Bragg's law for the DFT cell and can differ from measured ones.

Crystal structure
```
data_GdMg
_chemical_formula_sum 'Gd4 Mg4'
_cell_length_a 3.730
_cell_length_b 5.422
_cell_length_c 11.149
_cell_angle_alpha 90.00
_cell_angle_beta 90.00
_cell_angle_gamma 90.00
_space_group_name_H-M_alt 'P m m n'
_space_group_IT_number 59
loop_
_space_group_symop_operation_xyz
'x,y,z'
'-x,-y,-z'
'-x+1/2,-y+1/2,z'
'x+1/2,y+1/2,-z'
'x+1/2,-y,-z'
'-x+1/2,y,z'
'-x,y+1/2,-z'
'x,-y+1/2,z'
loop_
_atom_site_label
_atom_site_fract_x
_atom_site_fract_y
_atom_site_fract_z
Gd1 0.250 0.250 0.037
Gd2 0.250 0.750 0.243
Mg1 0.250 0.250 0.505
Mg2 0.250 0.750 0.712
```

Largest 6 diffraction maxima, low angle first, 2θ from 5° to 70°:
h k l  two_theta  d/Å  intensity
0 0 1  7.93  11.149  859
1 0 1  25.18  3.537  237
0 1 3  29.13  3.065  325
0 2 0  33.04  2.711  286
1 1 2  33.29  2.691  1000
1 3 2  59.14  1.562  321


No. 2
GdMg: theoretical XRD peak list (a wavelength of 1.5418 Å), based on the PBE geometry in OQMD.
Peak positions follow from Bragg's law for the DFT cell and can differ from measured ones.

Crystal structure
```
data_GdMg
_chemical_formula_sum 'Gd12 Mg12'
_cell_length_a 6.896
_cell_length_b 17.932
_cell_length_c 5.410
_cell_angle_alpha 90.00
_cell_angle_beta 90.00
_cell_angle_gamma 90.00
_space_group_name_H-M_alt 'P b c m'
_space_group_IT_number 57
_space_group_name_Hall '-P 2c 2b'
loop_
_atom_site_label
_atom_site_fract_x
_atom_site_fract_y
_atom_site_fract_z
Gd1 0.119 0.033 0.250
Gd2 0.368 0.521 0.250
Gd3 0.379 0.191 0.250
Mg1 0.115 0.143 0.750
Mg2 0.126 0.697 0.250
Mg3 0.364 0.638 0.750
```

Largest 6 diffraction maxima, low angle first, 2θ from 5° to 70°:
h k l  two_theta  d/Å  intensity
0 2 0  9.87  8.966  291
0 6 0  29.91  2.987  240
0 0 2  33.12  2.705  249
2 3 1  34.29  2.615  1000
2 3 3  59.91  1.544  200
4 0 2  64.02  1.454  207


No. 3
Gd5Mg: theoretical XRD peak list (a wavelength of 1.5418 Å), based on the PBE geometry in OQMD.
Peak positions follow from Bragg's law for the DFT cell and can differ from measured ones.

Crystal structure
```
data_Gd5Mg
_chemical_formula_sum 'Gd5 Mg1'
_cell_length_a 3.5834
_cell_length_b 3.5834
_cell_length_c 17.0273
_cell_angle_alpha 90.00
_cell_angle_beta 90.00
_cell_angle_gamma 120.00
_space_group_name_H-M_alt 'P -6 m 2'
_space_group_IT_number 187
_space_group_name_Hall 'P -6 2'
loop_
_atom_site_label
_atom_site_fract_x
_atom_site_fract_y
_atom_site_fract_z
Gd1 0.0000 0.0000 0.0000
Gd2 0.0000 0.0000 0.3390
Gd3 0.6667 0.3333 0.1702
Mg1 0.6667 0.3333 0.5000
```

Largest 6 diffraction maxima, low angle first, 2θ from 5° to 70°:
h k l  two_theta  d/Å  intensity
0 0 1  5.19  17.027  261
1 0 0  28.77  3.103  254
0 0 6  31.53  2.838  242
1 0 3  32.89  2.723  1000
1 0 9  57.01  1.615  198
1 1 6  61.17  1.515  219


No. 4
GdMg: theoretical XRD peak list (a wavelength of 1.5418 Å), based on the PBE geometry in OQMD.
Peak positions follow from Bragg's law for the DFT cell and can differ from measured ones.

Crystal structure
```
data_GdMg
_chemical_formula_sum 'Gd10 Mg10'
_cell_length_a 5.144
_cell_length_b 21.027
_cell_length_c 5.141
_cell_angle_alpha 90.00
_cell_angle_beta 90.00
_cell_angle_gamma 90.00
_space_group_name_H-M_alt 'A m m 2'
_space_group_IT_number 38
_space_group_name_Hall 'A 2 -2'
loop_
_atom_site_label
_atom_site_fract_x
_atom_site_fract_y
_atom_site_fract_z
Gd1 0.000 0.000 0.000
Gd2 0.000 0.194 0.000
Gd3 0.500 0.189 0.499
Mg1 0.000 0.090 0.500
Mg2 0.500 0.000 0.499
Mg3 0.500 0.090 0.999
```

Largest 6 diffraction maxima, low angle first, 2θ from 5° to 70°:
h k l  two_theta  d/Å  intensity
0 2 0  8.41  10.514  378
1 1 1  24.85  3.583  258
1 3 1  27.64  3.228  254
1 5 1  32.55  2.751  1000
2 0 0  34.89  2.571  442
3 5 1  61.10  1.517  326


No. 5
Nd2GdMg4Tl2: theoretical XRD peak list (a wavelength of 1.5418 Å), based on the PBE geometry in OQMD.
Peak positions follow from Bragg's law for the DFT cell and can differ from measured ones.

Crystal structure
```
data_Nd2GdMg4Tl2
_chemical_formula_sum 'Nd4 Gd2 Mg8 Tl4'
_cell_length_a 4.740
_cell_length_b 13.259
_cell_length_c 7.744
_cell_angle_alpha 90.00
_cell_angle_beta 90.00
_cell_angle_gamma 90.00
_space_group_name_H-M_alt 'A m m 2'
_space_group_IT_number 38
_space_group_name_Hall 'A 2 -2'
loop_
_atom_site_label
_atom_site_fract_x
_atom_site_fract_y
_atom_site_fract_z
Nd1 0.000 0.214 0.000
Gd1 0.000 0.000 0.646
Mg1 0.000 0.000 0.221
Mg2 0.500 0.000 0.975
Mg3 0.500 0.121 0.337
Tl1 0.500 0.164 0.714
```

Largest 6 diffraction maxima, low angle first, 2θ from 5° to 70°:
h k l  two_theta  d/Å  intensity
0 1 1  13.24  6.687  685
1 0 2  29.80  2.999  471
1 3 1  29.96  2.983  1000
1 2 2  32.78  2.732  723
1 4 0  32.98  2.716  391
2 0 0  37.97  2.370  326


No. 6
Gd2MgZn3Ni2: theoretical XRD peak list (a wavelength of 1.5418 Å), based on the PBE geometry in OQMD.
Peak positions follow from Bragg's law for the DFT cell and can differ from measured ones.

Crystal structure
```
data_Gd2MgZn3Ni2
_chemical_formula_sum 'Gd4 Mg2 Zn6 Ni4'
_cell_length_a 9.561
_cell_length_b 4.076
_cell_length_c 7.373
_cell_angle_alpha 90.00
_cell_angle_beta 90.33
_cell_angle_gamma 90.00
_space_group_name_H-M_alt 'C 1 m 1'
_space_group_IT_number 8
_space_group_name_Hall 'C -2y'
loop_
_atom_site_label
_atom_site_fract_x
_atom_site_fract_y
_atom_site_fract_z
Gd1 0.000 0.000 0.000
Gd2 0.121 0.000 0.518
Mg1 0.218 0.500 0.200
Zn1 0.219 0.500 0.808
Zn2 0.406 0.000 0.699
Zn3 0.409 0.000 0.313
Ni1 0.281 0.000 0.998
Ni2 0.349 0.500 0.514
```

Largest 6 diffraction maxima, low angle first, 2θ from 5° to 70°:
h k l  two_theta  d/Å  intensity
1 1 0  23.73  3.749  241
1 1 -2  34.10  2.629  1000
3 1 -1  37.80  2.380  271
3 1 1  37.91  2.373  433
4 0 -1  39.57  2.278  223
0 2 0  44.46  2.038  312


Repeat the fourth record exactly.
GdMg: theoretical XRD peak list (a wavelength of 1.5418 Å), based on the PBE geometry in OQMD.
Peak positions follow from Bragg's law for the DFT cell and can differ from measured ones.

Crystal structure
```
data_GdMg
_chemical_formula_sum 'Gd10 Mg10'
_cell_length_a 5.144
_cell_length_b 21.027
_cell_length_c 5.141
_cell_angle_alpha 90.00
_cell_angle_beta 90.00
_cell_angle_gamma 90.00
_space_group_name_H-M_alt 'A m m 2'
_space_group_IT_number 38
_space_group_name_Hall 'A 2 -2'
loop_
_atom_site_label
_atom_site_fract_x
_atom_site_fract_y
_atom_site_fract_z
Gd1 0.000 0.000 0.000
Gd2 0.000 0.194 0.000
Gd3 0.500 0.189 0.499
Mg1 0.000 0.090 0.500
Mg2 0.500 0.000 0.499
Mg3 0.500 0.090 0.999
```

Largest 6 diffraction maxima, low angle first, 2θ from 5° to 70°:
h k l  two_theta  d/Å  intensity
0 2 0  8.41  10.514  378
1 1 1  24.85  3.583  258
1 3 1  27.64  3.228  254
1 5 1  32.55  2.751  1000
2 0 0  34.89  2.571  442
3 5 1  61.10  1.517  326